This entry pairs a crystal structure of Ti4N3 with its theoretical X-ray powder pattern. Radiation: Cu Ka. Structure: a PBE-relaxed structure.
No peak broadening, texture or thermal motion is included.

Structural model:
```
data_Ti4N3
_space_group_name_H-M_alt 'C 1 2/m 1'
_space_group_IT_number 12
_cell_length_a 11.101
_cell_length_b 2.983
_cell_length_c 5.182
_cell_angle_alpha 90.00
_cell_angle_beta 117.27
_cell_angle_gamma 90.00
loop_
_space_group_symop_operation_xyz
'x,y,z'
'-x,-y,-z'
'-x,y,-z'
'x,-y,z'
'x+1/2,y+1/2,z'
'-x+1/2,-y+1/2,-z'
'-x+1/2,y+1/2,-z'
'x+1/2,-y+1/2,z'
loop_
_atom_site_label
_atom_site_fract_x
_atom_site_fract_y
_atom_site_fract_z
Ti1 0.128 0.000 0.451
Ti2 0.130 0.500 0.976
N1 0.000 0.000 0.000
N2 0.236 0.500 0.734
```

The 6 most intense peaks (15 to 90 degrees two-theta), by angle:
d 2.467, 36.42°, I 367, hkl 4 0 0
d 2.303, 39.11°, I 318, hkl 0 0 2
d 2.294, 39.27°, I 757, hkl 1 1 1
d 2.285, 39.43°, I 1000, hkl 4 0 -2
d 1.779, 51.35°, I 255, hkl 6 0 -2
d 1.495, 62.09°, I 281, hkl 3 1 -3

This entry pairs a crystal structure of Ta2TcHg with its theoretical X-ray powder pattern. Radiation: Cu Ka. Structure: a PBE-relaxed structure.
No peak broadening, texture or thermal motion is included.

Structural model:
```
data_Ta2TcHg
_space_group_name_H-M_alt 'P 1 m 1'
_space_group_IT_number 6
_cell_length_a 2.932
_cell_length_b 4.601
_cell_length_c 5.456
_cell_angle_alpha 90.00
_cell_angle_beta 99.68
_cell_angle_gamma 90.00
loop_
_space_group_symop_operation_xyz
'x,y,z'
'x,-y,z'
loop_
_atom_site_label
_atom_site_fract_x
_atom_site_fract_y
_atom_site_fract_z
Ta1 0.000 0.000 0.000
Ta2 0.281 0.500 0.727
Tc1 0.696 0.500 0.168
Hg1 0.673 0.000 0.482
```

The 6 most intense peaks (15 to 90 degrees two-theta), by angle:
d 2.447, 36.72°, I 267, hkl 1 1 0
d 2.384, 37.73°, I 411, hkl 1 0 1
d 2.358, 38.17°, I 907, hkl 1 1 -1
d 2.322, 38.79°, I 1000, hkl 0 1 2
d 2.300, 39.16°, I 541, hkl 0 2 0
d 1.655, 55.54°, I 412, hkl 1 0 -3

Copy entry 1 word for word.
This entry pairs a crystal structure of Ti4N3 with its theoretical X-ray powder pattern. Radiation: Cu Ka. Structure: a PBE-relaxed structure.
No peak broadening, texture or thermal motion is included.

Structural model:
```
data_Ti4N3
_space_group_name_H-M_alt 'C 1 2/m 1'
_space_group_IT_number 12
_cell_length_a 11.101
_cell_length_b 2.983
_cell_length_c 5.182
_cell_angle_alpha 90.00
_cell_angle_beta 117.27
_cell_angle_gamma 90.00
loop_
_space_group_symop_operation_xyz
'x,y,z'
'-x,-y,-z'
'-x,y,-z'
'x,-y,z'
'x+1/2,y+1/2,z'
'-x+1/2,-y+1/2,-z'
'-x+1/2,y+1/2,-z'
'x+1/2,-y+1/2,z'
loop_
_atom_site_label
_atom_site_fract_x
_atom_site_fract_y
_atom_site_fract_z
Ti1 0.128 0.000 0.451
Ti2 0.130 0.500 0.976
N1 0.000 0.000 0.000
N2 0.236 0.500 0.734
```

The 6 most intense peaks (15 to 90 degrees two-theta), by angle:
d 2.467, 36.42°, I 367, hkl 4 0 0
d 2.303, 39.11°, I 318, hkl 0 0 2
d 2.294, 39.27°, I 757, hkl 1 1 1
d 2.285, 39.43°, I 1000, hkl 4 0 -2
d 1.779, 51.35°, I 255, hkl 6 0 -2
d 1.495, 62.09°, I 281, hkl 3 1 -3